This entry pairs a crystal structure of Dy4Ni2Sb with its calculated powder XRD pattern. Radiation: Cu Kα. Structure: a cell relaxed with PBE.
Intensities are scaled so that the largest is 100.

```
data_Dy4Ni2Sb
_chemical_formula_sum 'Dy32 Ni16 Sb8'
_space_group_name_H-M_alt 'F d d 2'
_space_group_IT_number 43
_space_group_name_Hall 'F 2 -2d'
_cell_length_a 12.622
_cell_length_b 12.859
_cell_length_c 8.546
_cell_angle_alpha 90.00
_cell_angle_beta 90.00
_cell_angle_gamma 90.00
loop_
_atom_site_label
_atom_site_type_symbol
_atom_site_fract_x
_atom_site_fract_y
_atom_site_fract_z
Dy1 Dy 0.059 0.115 0.000
Dy2 Dy 0.121 0.445 0.839
Ni1 Ni 0.078 0.170 0.294
Sb1 Sb 0.000 0.000 0.668
```

Principal peaks in the range 15° ≤ 2θ ≤ 90°, in order of falling intensity:
2θ 31.58, intensity 100
2θ 32.98, intensity 69
2θ 37.81, intensity 51
2θ 37.20, intensity 39
2θ 28.80, intensity 33
2θ 31.22, intensity 25
2θ 38.12, intensity 21
2θ 65.96, intensity 16
2θ 51.36, intensity 14
2θ 53.50, intensity 13
2θ 53.74, intensity 12
2θ 48.21, intensity 12


This entry pairs a crystal structure of RbAlAgF6 with its calculated powder XRD pattern. Radiation: Cu Kα. Structure: a cell relaxed with PBE.
Intensities are scaled so that the largest is 100.

```
data_RbAlAgF6
_chemical_formula_sum 'Rb4 Al4 Ag4 F24'
_space_group_name_H-M_alt 'P n m a'
_space_group_IT_number 62
_cell_length_a 7.188
_cell_length_b 7.297
_cell_length_c 10.404
_cell_angle_alpha 90.00
_cell_angle_beta 90.00
_cell_angle_gamma 90.00
loop_
_space_group_symop_operation_xyz
'x,y,z'
'-x,-y,-z'
'-x+1/2,-y,z+1/2'
'x+1/2,y,-z+1/2'
'x+1/2,-y+1/2,-z+1/2'
'-x+1/2,y+1/2,z+1/2'
'-x,y+1/2,-z'
'x,-y+1/2,z'
loop_
_atom_site_label
_atom_site_type_symbol
_atom_site_fract_x
_atom_site_fract_y
_atom_site_fract_z
Rb1 Rb 0.031 0.250 0.128
Al1 Al 0.000 0.000 0.500
Ag1 Ag 0.197 0.250 0.758
F1 F 0.049 0.250 0.506
F2 F 0.059 0.750 0.148
F3 F 0.111 0.526 0.657
F4 F 0.224 0.535 0.423
```

Principal peaks in the range 15° ≤ 2θ ≤ 90°, in order of falling intensity:
2θ 28.99, intensity 100
2θ 28.52, intensity 92
2θ 49.99, intensity 70
2θ 24.39, intensity 67
2θ 28.75, intensity 55
2θ 29.91, intensity 43
2θ 37.93, intensity 33
2θ 45.33, intensity 28
2θ 57.87, intensity 26
2θ 42.92, intensity 24
2θ 27.67, intensity 24
2θ 45.55, intensity 24


This entry pairs a crystal structure of Pa2Tc3P4 with its calculated powder XRD pattern. Radiation: Cu Kα. Structure: a cell relaxed with PBE.
Intensities are scaled so that the largest is 100.

```
data_Pa2Tc3P4
_chemical_formula_sum 'Pa4 Tc6 P8'
_space_group_name_H-M_alt 'P 1 21/c 1'
_space_group_IT_number 14
_cell_length_a 5.795
_cell_length_b 6.737
_cell_length_c 8.238
_cell_angle_alpha 90.00
_cell_angle_beta 111.83
_cell_angle_gamma 90.00
loop_
_space_group_symop_operation_xyz
'x,y,z'
'-x,-y,-z'
'-x,y+1/2,-z+1/2'
'x,-y+1/2,z+1/2'
loop_
_atom_site_label
_atom_site_type_symbol
_atom_site_fract_x
_atom_site_fract_y
_atom_site_fract_z
Pa1 Pa 0.150 0.227 0.048
Tc1 Tc 0.293 0.625 0.290
Tc2 Tc 0.500 0.000 0.500
P1 P 0.092 0.546 0.782
P2 P 0.432 0.663 0.606
```

Principal peaks in the range 15° ≤ 2θ ≤ 90°, in order of falling intensity:
2θ 35.50, intensity 100
2θ 36.05, intensity 83
2θ 35.33, intensity 76
2θ 35.95, intensity 62
2θ 26.81, intensity 36
2θ 43.67, intensity 35
2θ 21.13, intensity 29
2θ 26.57, intensity 29
2θ 31.33, intensity 26
2θ 41.10, intensity 24
2θ 26.46, intensity 23
2θ 57.53, intensity 23


This entry pairs a crystal structure of Ti2ZnSn2O7 with its calculated powder XRD pattern. Radiation: Cu Kα. Structure: a cell relaxed with PBE.
Intensities are scaled so that the largest is 100.

```
data_Ti2ZnSn2O7
_chemical_formula_sum 'Ti8 Zn4 Sn8 O28'
_space_group_name_H-M_alt 'C 1 2/c 1'
_space_group_IT_number 15
_cell_length_a 9.088
_cell_length_b 10.838
_cell_length_c 9.229
_cell_angle_alpha 90.00
_cell_angle_beta 112.36
_cell_angle_gamma 90.00
loop_
_space_group_symop_operation_xyz
'x,y,z'
'-x,-y,-z'
'-x,y,-z+1/2'
'x,-y,z+1/2'
'x+1/2,y+1/2,z'
'-x+1/2,-y+1/2,-z'
'-x+1/2,y+1/2,-z+1/2'
'x+1/2,-y+1/2,z+1/2'
loop_
_atom_site_label
_atom_site_type_symbol
_atom_site_fract_x
_atom_site_fract_y
_atom_site_fract_z
Ti1 Ti 0.114 0.216 0.129
Zn1 Zn 0.000 0.237 0.750
Sn1 Sn 0.228 0.494 0.984
O1 O 0.000 0.174 0.250
O2 O 0.051 0.132 0.940
O3 O 0.121 0.379 0.099
O4 O 0.184 0.351 0.790
```

Principal peaks in the range 15° ≤ 2θ ≤ 90°, in order of falling intensity:
2θ 26.85, intensity 100
2θ 26.59, intensity 97
2θ 28.67, intensity 45
2θ 33.05, intensity 29
2θ 35.21, intensity 29
2θ 40.89, intensity 23
2θ 42.95, intensity 23
2θ 49.07, intensity 22
2θ 23.39, intensity 21
2θ 43.45, intensity 20
2θ 55.34, intensity 20
2θ 30.24, intensity 18